# 1
# PmNdTePb
Simulated PXRD pattern, Cu Kα. Input: a structure optimized by DFT (GGA-PBE).

Atomic structure:
```
PmNdTePb
1.0
4.5287 0.0000 0.0000
0.0000 4.5287 0.0000
0.0000 0.0000 6.3927
Pm Nd Te Pb
1 1 1 1
Direct
0.0000 0.0000 0.0000
0.5000 0.5000 0.5000
0.0000 0.0000 0.5000
0.5000 0.5000 0.0000
```

Peak list (10 most intense, 2θ = 10–90°, sorted by position)
2θ = 13.9°, rel. 3; 2θ = 27.9°, rel. 100; 2θ = 39.8°, rel. 78; 2θ = 49.3°, rel. 28; 2θ = 57.6°, rel. 9; 2θ = 57.7°, rel. 4; 2θ = 65.2°, rel. 24; 2θ = 65.2°, rel. 12; 2θ = 72.3°, rel. 27; 2θ = 85.9°, rel. 9

---

# 2
# Tb6YErTm2
Simulated PXRD pattern, Cu Kα. Input: a structure optimized by DFT (GGA-PBE).

Atomic structure:
```
Tb6YErTm2
1.0
4.5128 -7.5174 0.0000
4.5128 7.5174 0.0000
-1.1800 0.0000 9.4222
Tb Y Er Tm
12 2 2 4
Direct
0.0171 0.5670 0.1851
0.1244 0.7540 0.5548
0.2460 0.8756 0.9452
0.2898 0.5039 0.3804
0.4330 0.9829 0.3149
0.4961 0.7102 0.1196
0.5039 0.2898 0.8804
0.5670 0.0171 0.6851
0.7102 0.4961 0.6196
0.7540 0.1244 0.0548
0.8756 0.2460 0.4452
0.9829 0.4330 0.8149
0.0240 0.9760 0.2500
0.9760 0.0240 0.7500
0.4099 0.5901 0.7500
0.5901 0.4099 0.2500
0.1985 0.3055 0.0444
0.3055 0.1985 0.5444
0.6945 0.8015 0.4556
0.8015 0.6945 0.9556
```

Peak list (10 most intense, 2θ = 10–90°, sorted by position)
2θ = 28.3°, rel. 14; 2θ = 28.7°, rel. 31; 2θ = 30.9°, rel. 100; 2θ = 31.4°, rel. 39; 2θ = 31.6°, rel. 55; 2θ = 31.8°, rel. 32; 2θ = 32.5°, rel. 18; 2θ = 34.1°, rel. 54; 2θ = 38.1°, rel. 13; 2θ = 56.6°, rel. 13

---

# 3
# K2ZnSe2O10
Simulated PXRD pattern, Cu Kα. Input: a structure optimized by DFT (GGA-PBE).

Atomic structure:
```
K2ZnSe2O10
1.0
5.2309 0.0000 0.0000
1.6417 6.5323 0.0000
0.7563 2.1343 7.6228
K Zn Se O
2 1 2 10
Direct
0.2473 0.2763 0.3224
0.7527 0.7237 0.6776
0.0000 0.0000 0.0000
0.4180 0.2903 0.7966
0.5820 0.7097 0.2034
0.0948 0.9731 0.7529
0.2565 0.2070 0.9867
0.2646 0.7261 0.1634
0.2894 0.5402 0.6923
0.4122 0.1285 0.6664
0.5878 0.8715 0.3336
0.7106 0.4598 0.3077
0.7354 0.2739 0.8366
0.7435 0.7930 0.0133
0.9052 0.0269 0.2471
```

Peak list (10 most intense, 2θ = 10–90°, sorted by position)
2θ = 11.6°, rel. 59; 2θ = 15.7°, rel. 100; 2θ = 23.3°, rel. 34; 2θ = 23.8°, rel. 79; 2θ = 24.9°, rel. 74; 2θ = 25.2°, rel. 56; 2θ = 28.9°, rel. 96; 2θ = 29.8°, rel. 30; 2θ = 35.0°, rel. 26; 2θ = 35.4°, rel. 28